[1]
# Tb2ZnCu7
Simulated powder X-ray diffraction pattern, Cu Kα. Input: a GGA-PBE-relaxed structure.

Cell and atoms:
```
Tb2ZnCu7
1.0
3.9982 0.0000 0.0000
0.0000 3.9982 0.0000
0.0000 0.0000 10.2842
Tb Zn Cu
2 1 7
Direct
0.0000 0.5000 0.2465
0.5000 0.0000 0.7535
0.0000 0.0000 0.5000
0.0000 0.0000 0.0000
0.0000 0.5000 0.6372
0.0000 0.5000 0.8660
0.5000 0.0000 0.1340
0.5000 0.0000 0.3628
0.5000 0.5000 0.0000
0.5000 0.5000 0.5000
```

Most intense lines, 5 to 70 degrees two-theta, low angle first:
two_theta, I_rel
23.9, 80
31.6, 176
34.5, 629
36.3, 1000
45.4, 500
49.9, 314
58.2, 272
63.5, 111
66.1, 153
69.7, 222

***

[2]
# Zr2NiH
Simulated powder X-ray diffraction pattern, Cu Kα. Input: a GGA-PBE-relaxed structure.

Cell and atoms:
```
Zr2NiH
1.0
-3.0321 3.0321 3.3379
3.0321 -3.0321 3.3379
3.0321 3.0321 -3.3379
Zr Ni H
4 2 2
Direct
0.0657 0.6250 0.9407
0.3750 0.3157 0.4407
0.6843 0.1250 0.0593
0.8750 0.9343 0.5593
0.2500 0.7500 0.5000
0.5000 0.5000 0.0000
0.0000 0.0000 0.0000
0.7500 0.2500 0.5000
```

Most intense lines, 5 to 70 degrees two-theta, low angle first:
two_theta, I_rel
29.5, 191
34.0, 1000
35.7, 518
42.1, 326
43.3, 91
47.0, 190
55.2, 285
56.4, 72
63.6, 228
64.9, 73

***

[3]
# NaLiGa3
Simulated powder X-ray diffraction pattern, Cu Kα. Input: a GGA-PBE-relaxed structure.

Cell and atoms:
```
NaLiGa3
1.0
8.4760 0.0000 0.0000
0.0000 6.6528 0.0000
-2.7305 0.0000 7.2077
Na Li Ga
4 4 12
Direct
0.0503 0.2271 0.4882
0.0503 0.2729 0.9882
0.9497 0.7271 0.0118
0.9497 0.7729 0.5118
0.3099 0.5305 0.7635
0.3099 0.9695 0.2635
0.6901 0.0305 0.7365
0.6901 0.4695 0.2365
0.2275 0.5932 0.3846
0.2275 0.9068 0.8846
0.3537 0.5973 0.1236
0.3537 0.9027 0.6236
0.4292 0.2173 0.0265
0.4292 0.2827 0.5265
0.5708 0.7173 0.4735
0.5708 0.7827 0.9735
0.6463 0.0973 0.3764
0.6463 0.4027 0.8764
0.7725 0.0932 0.1154
0.7725 0.4068 0.6154
```

Most intense lines, 5 to 70 degrees two-theta, low angle first:
two_theta, I_rel
11.2, 1000
18.9, 265
23.6, 412
24.7, 256
29.6, 310
36.6, 232
36.9, 426
37.6, 300
40.1, 281
42.3, 330